(1)
# Li2IrSe
Theoretical X-ray diffraction stick pattern, Cu Kα (weighted mean of Kα1 and Kα2). Input: a cell relaxed with PBE.
Kinematic intensities with the Lorentz-polarization factor, no thermal factor.

Main lines, most intense first (2θ = 5–70°):
two_theta	I (rel.)	hkl
22.46	100	0 1 0
39.09	56	1 1 0
41.87	46	0 1 2
31.57	43	1 0 0
53.37	41	1 1 2
34.86	33	0 0 2
17.23	32	0 0 1
47.74	32	1 0 2

Cell: 2.8338 3.9582 5.1469 Å, 90.00 90.00 90.00°
Space group Pmmm (No. 47)
Inequivalent atoms, fractional coordinates:
Li 0.0000 0.0000 0.2396 x2
Ir 0.5000 0.5000 0.0000 x1
Se 0.5000 0.5000 0.5000 x1



(2)
# Sr4Zn11
Theoretical X-ray diffraction stick pattern, Cu Kα (weighted mean of Kα1 and Kα2). Input: a cell relaxed with PBE.
Kinematic intensities with the Lorentz-polarization factor, no thermal factor.

Main lines, most intense first (2θ = 5–70°):
two_theta	I (rel.)	hkl
34.49	100	2 1 5
10.57	92	1 0 1
27.90	50	3 0 1
40.67	41	3 3 2
37.08	38	3 2 3
42.80	38	4 2 2
29.09	37	1 0 5
32.07	37	3 0 3

Cell: 9.7887 9.7887 16.1620 Å, 90.00 90.00 90.00°
Space group I4_1/amd (No. 141, origin choice 2)
Inequivalent atoms, fractional coordinates:
Sr 0.0000 0.0448 0.1239 x16
Zn 0.0000 0.0000 0.5000 x8
Zn 0.0000 0.2500 0.3750 x4
Zn 0.1344 0.0331 0.3021 x32